Record 1
Calculated powder diffraction line list of Li2TeO3 for a wavelength of 1.5418 Å, from a GGA-PBE-relaxed structure.
Peak positions follow from Bragg's law for the DFT cell and can differ from measured ones.

Peak list (10 most intense, 5 to 70 degrees two-theta, in order of rising 2θ)
d_spacing	I/Imax	hkl
4.555	51.2	0 2 1
4.456	42.4	1 1 -1
4.260	30.5	1 1 1
3.977	71.7	1 1 -2
3.708	87.4	1 1 2
3.509	50.6	0 0 4
3.356	100.0	0 2 3
2.706	43.8	1 3 -1
2.604	35.3	2 0 0
2.004	25.2	1 3 -5

Atomic structure:
```
data_Li2TeO3
_cell_length_a 5.227
_cell_length_b 9.632
_cell_length_c 14.088
_cell_angle_alpha 90.00
_cell_angle_beta 94.98
_cell_angle_gamma 90.00
_space_group_name_H-M_alt 'C 1 2/c 1'
_space_group_IT_number 15
loop_
_space_group_symop_operation_xyz
'x,y,z'
'-x,-y,-z'
'-x,y,-z+1/2'
'x,-y,z+1/2'
'x+1/2,y+1/2,z'
'-x+1/2,-y+1/2,-z'
'-x+1/2,y+1/2,-z+1/2'
'x+1/2,-y+1/2,z+1/2'
loop_
_atom_site_label
_atom_site_fract_x
_atom_site_fract_y
_atom_site_fract_z
Li1 0.203 0.250 0.317
Li2 0.204 0.064 0.815
Te1 0.234 0.407 0.906
O1 0.126 0.408 0.617
O2 0.175 0.057 0.671
O3 0.177 0.242 0.172
```

Record 2
Calculated powder diffraction line list of Li2TeO3 for a wavelength of 1.5418 Å, from a GGA-PBE-relaxed structure.
Peak positions follow from Bragg's law for the DFT cell and can differ from measured ones.

Peak list (10 most intense, 5 to 70 degrees two-theta, in order of rising 2θ)
d_spacing	I/Imax	hkl
13.639	100.0	0 0 1
4.824	11.1	0 2 0
4.547	16.0	0 0 3
4.415	12.9	1 1 -1
4.234	9.0	1 1 1
3.916	7.6	1 1 -2
3.672	11.0	1 1 2
3.309	10.6	0 2 3
2.276	4.5	2 2 0
2.175	4.7	2 0 3

Atomic structure:
```
data_Li2TeO3
_cell_length_a 5.185
_cell_length_b 9.648
_cell_length_c 13.682
_cell_angle_alpha 90.00
_cell_angle_beta 94.53
_cell_angle_gamma 90.00
_space_group_name_H-M_alt 'C 1 2/m 1'
_space_group_IT_number 12
loop_
_space_group_symop_operation_xyz
'x,y,z'
'-x,-y,-z'
'-x,y,-z'
'x,-y,z'
'x+1/2,y+1/2,z'
'-x+1/2,-y+1/2,-z'
'-x+1/2,y+1/2,-z'
'x+1/2,-y+1/2,z'
loop_
_atom_site_label
_atom_site_fract_x
_atom_site_fract_y
_atom_site_fract_z
Li1 0.204 0.157 0.068
Te1 0.230 0.500 0.161
O1 0.131 0.500 0.863
O2 0.178 0.149 0.919
```